# AsSXeNF10
Computed powder XRD pattern, a wavelength of 1.5418 Å. Input: DFT lattice parameters and positions (GGA-PBE).
Neutral-atom scattering factors, no anomalous dispersion.

Structural model:
Lattice parameters (Å, degrees): 26.797 5.275 15.368 90.00 119.75 90.00
Space group C2/c (No. 15)
Symmetry-distinct sites (fractional):
As 0.098 0.082 0.475
S 0.196 0.417 0.821
Xe 0.058 0.472 0.682
N 0.137 0.274 0.785
F 0.046 0.338 0.444
F 0.049 0.075 0.863
F 0.068 0.070 0.041
F 0.126 0.245 0.407
F 0.145 0.252 0.585
F 0.149 0.163 0.005
F 0.173 0.318 0.261
F 0.225 0.163 0.884
F 0.231 0.427 0.419
F 0.238 0.397 0.777

Peak list (12 most intense, 2θ = 10–80°, sorted by position)
d 4.309, 2θ 20.61, I 66
d 4.231, 2θ 21.00, I 69
d 3.874, 2θ 22.95, I 92
d 3.828, 2θ 23.24, I 100
d 3.711, 2θ 23.98, I 59
d 3.589, 2θ 24.80, I 38
d 3.341, 2θ 26.68, I 32
d 3.099, 2θ 28.81, I 39
d 2.269, 2θ 39.72, I 20
d 2.253, 2θ 40.02, I 23
d 2.059, 2θ 43.98, I 24
d 1.953, 2θ 46.50, I 22

# NaAsF6
Computed powder XRD pattern, a wavelength of 1.5418 Å. Input: DFT lattice parameters and positions (GGA-PBE).
Neutral-atom scattering factors, no anomalous dispersion.

Structural model:
Lattice parameters (Å, degrees): 5.4183 5.4183 14.1351 90.00 90.00 120.00
Space group R-3 (No. 148, hexagonal axes)
Symmetry-distinct sites (fractional):
Na 0.0000 0.0000 0.0000
As 0.0000 0.0000 0.5000
F 0.0323 0.7505 0.5725

Peak list (12 most intense, 2θ = 10–80°, sorted by position)
d 4.712, 2θ 18.83, I 19
d 4.453, 2θ 19.94, I 50
d 3.909, 2θ 22.75, I 100
d 2.823, 2θ 31.70, I 19
d 2.709, 2θ 33.07, I 7
d 2.349, 2θ 38.32, I 25
d 1.955, 2θ 46.46, I 17
d 1.778, 2θ 51.40, I 26
d 1.720, 2θ 53.25, I 12
d 1.585, 2θ 58.20, I 10
d 1.564, 2θ 59.06, I 9
d 1.280, 2θ 74.07, I 7

# NaAsF6
Computed powder XRD pattern, a wavelength of 1.5418 Å. Input: DFT lattice parameters and positions (GGA-PBE).
Neutral-atom scattering factors, no anomalous dispersion.

Structural model:
Lattice parameters (Å, degrees): 8.148 8.148 8.148 90.00 90.00 90.00
Space group Fm-3m (No. 225)
Symmetry-distinct sites (fractional):
Na 0.000 0.000 0.000
As 0.000 0.000 0.500
F 0.000 0.000 0.283

Peak list (12 most intense, 2θ = 10–80°, sorted by position)
d 4.704, 2θ 18.86, I 53
d 4.074, 2θ 21.82, I 100
d 2.881, 2θ 31.05, I 17
d 2.457, 2θ 36.58, I 10
d 2.037, 2θ 44.48, I 28
d 1.822, 2θ 50.07, I 32
d 1.663, 2θ 55.23, I 5
d 1.568, 2θ 58.90, I 11
d 1.440, 2θ 64.72, I 14
d 1.377, 2θ 68.08, I 7
d 1.358, 2θ 69.18, I 13
d 1.288, 2θ 73.51, I 5

# Na3AsF6
Computed powder XRD pattern, a wavelength of 1.5418 Å. Input: DFT lattice parameters and positions (GGA-PBE).
Neutral-atom scattering factors, no anomalous dispersion.

Structural model:
Lattice parameters (Å, degrees): 8.504 8.504 8.504 90.00 90.00 90.00
Space group Fm-3m (No. 225)
Symmetry-distinct sites (fractional):
Na 0.000 0.000 0.000
Na 0.250 0.250 0.250
As 0.000 0.000 0.500
F 0.000 0.000 0.259

Peak list (12 most intense, 2θ = 10–80°, sorted by position)
d 4.910, 2θ 18.07, I 64
d 4.252, 2θ 20.89, I 85
d 3.006, 2θ 29.72, I 96
d 2.564, 2θ 35.00, I 26
d 2.126, 2θ 42.52, I 100
d 1.901, 2θ 47.84, I 33
d 1.736, 2θ 52.74, I 39
d 1.637, 2θ 56.21, I 12
d 1.503, 2θ 61.71, I 56
d 1.417, 2θ 65.91, I 14
d 1.345, 2θ 69.97, I 17
d 1.227, 2θ 77.82, I 17